1.
Calculated XRD peak list
Compound: BaAuO3
Radiation: Cu Ka
Structure: the GGA-PBE geometry in OQMD
Peak positions follow from Bragg's law for the DFT cell and can differ from measured ones.

```
data_BaAuO3
_chemical_formula_sum 'Ba1 Au1 O3'
_space_group_name_H-M_alt 'P 4 m m'
_space_group_IT_number 99
_space_group_name_Hall 'P 4 -2'
_cell_length_a 4.121
_cell_length_b 4.121
_cell_length_c 4.303
_cell_angle_alpha 90.00
_cell_angle_beta 90.00
_cell_angle_gamma 90.00
loop_
_atom_site_label
_atom_site_fract_x
_atom_site_fract_y
_atom_site_fract_z
Ba1 0.000 0.000 0.000
Au1 0.500 0.500 0.488
O1 0.000 0.500 0.553
O2 0.500 0.500 0.001
```

Top 10 peaks for 10 to 90 degrees two-theta, by angle:
30.02 deg, I 100.0; 30.68 deg, I 47.4; 41.99 deg, I 14.0; 43.94 deg, I 25.8; 52.90 deg, I 22.1; 54.13 deg, I 39.5; 62.40 deg, I 16.9; 85.85 deg, I 11.3; 87.51 deg, I 11.4; 88.51 deg, I 10.8

---

2.
Calculated XRD peak list
Compound: Mg4Sb4Pt5
Radiation: Cu Ka
Structure: the GGA-PBE geometry in OQMD
Peak positions follow from Bragg's law for the DFT cell and can differ from measured ones.

```
data_Mg4Sb4Pt5
_chemical_formula_sum 'Mg12 Sb12 Pt15'
_space_group_name_H-M_alt 'R 3 m'
_space_group_IT_number 160
_space_group_name_Hall 'R 3 -2"'
_cell_length_a 4.5281
_cell_length_b 4.5281
_cell_length_c 44.1400
_cell_angle_alpha 90.00
_cell_angle_beta 90.00
_cell_angle_gamma 120.00
loop_
_atom_site_label
_atom_site_fract_x
_atom_site_fract_y
_atom_site_fract_z
Mg1 0.0000 0.0000 0.0000
Mg2 0.0000 0.0000 0.2447
Mg3 0.0000 0.0000 0.4982
Mg4 0.0000 0.0000 0.7496
Sb1 0.0000 0.0000 0.1225
Sb2 0.0000 0.0000 0.3753
Sb3 0.0000 0.0000 0.6210
Sb4 0.0000 0.0000 0.8704
Pt1 0.0000 0.0000 0.1843
Pt2 0.0000 0.0000 0.3108
Pt3 0.0000 0.0000 0.4368
Pt4 0.0000 0.0000 0.6868
Pt5 0.0000 0.0000 0.9314
```

Top 10 peaks for 10 to 90 degrees two-theta, by angle:
24.08 deg, I 73.3; 24.20 deg, I 23.5; 27.91 deg, I 14.1; 39.82 deg, I 100.0; 39.96 deg, I 95.0; 47.11 deg, I 36.3; 57.68 deg, I 32.5; 72.34 deg, I 50.3; 72.66 deg, I 14.8; 85.85 deg, I 11.6

---

3.
Calculated XRD peak list
Compound: TmInSnTe3
Radiation: Cu Ka
Structure: the GGA-PBE geometry in OQMD
Peak positions follow from Bragg's law for the DFT cell and can differ from measured ones.

```
data_TmInSnTe3
_chemical_formula_sum 'Tm4 In4 Sn4 Te12'
_space_group_name_H-M_alt 'C m c m'
_space_group_IT_number 63
_space_group_name_Hall '-C 2c 2'
_cell_length_a 4.280
_cell_length_b 15.055
_cell_length_c 12.411
_cell_angle_alpha 90.00
_cell_angle_beta 90.00
_cell_angle_gamma 90.00
loop_
_atom_site_label
_atom_site_fract_x
_atom_site_fract_y
_atom_site_fract_z
Tm1 0.000 0.000 0.000
In1 0.000 0.322 0.250
Sn1 0.000 0.354 0.750
Te1 0.000 0.004 0.750
Te2 0.000 0.359 0.000
```

Top 10 peaks for 10 to 90 degrees two-theta, by angle:
27.39 deg, I 100.0; 28.77 deg, I 48.9; 35.79 deg, I 17.9; 40.14 deg, I 72.0; 42.24 deg, I 17.3; 46.55 deg, I 17.9; 51.90 deg, I 19.6; 64.65 deg, I 12.7; 66.79 deg, I 15.9; 75.78 deg, I 17.3

---

4.
Calculated XRD peak list
Compound: Bi4Ir
Radiation: Cu Ka
Structure: the GGA-PBE geometry in OQMD
Peak positions follow from Bragg's law for the DFT cell and can differ from measured ones.

```
data_Bi4Ir
_chemical_formula_sum 'Bi108 Ir27'
_space_group_name_H-M_alt 'R -3 m'
_space_group_IT_number 166
_space_group_name_Hall '-R 3 2"'
_cell_length_a 26.4780
_cell_length_b 26.4780
_cell_length_c 7.1107
_cell_angle_alpha 90.00
_cell_angle_beta 90.00
_cell_angle_gamma 120.00
loop_
_atom_site_label
_atom_site_fract_x
_atom_site_fract_y
_atom_site_fract_z
Bi1 0.0479 0.4609 0.2874
Bi2 0.0557 0.1113 0.3278
Bi3 0.0597 0.2367 0.1818
Bi4 0.0869 0.1738 0.7557
Ir1 0.0000 0.1689 0.5000
Ir2 0.0000 0.5000 0.0000
```

Top 10 peaks for 10 to 90 degrees two-theta, by angle:
11.58 deg, I 100.0; 13.04 deg, I 62.0; 30.03 deg, I 81.4; 30.95 deg, I 31.5; 32.58 deg, I 46.0; 33.71 deg, I 98.3; 34.68 deg, I 36.5; 39.58 deg, I 34.6; 40.42 deg, I 42.3; 42.19 deg, I 39.0

---

5.
Calculated XRD peak list
Compound: Tb2HoCoSn3Ir2
Radiation: Cu Ka
Structure: the GGA-PBE geometry in OQMD
Peak positions follow from Bragg's law for the DFT cell and can differ from measured ones.

```
data_Tb2HoCoSn3Ir2
_chemical_formula_sum 'Tb4 Ho2 Co2 Sn6 Ir4'
_space_group_name_H-M_alt 'A m m 2'
_space_group_IT_number 38
_space_group_name_Hall 'A 2 -2'
_cell_length_a 3.792
_cell_length_b 13.041
_cell_length_c 7.548
_cell_angle_alpha 90.00
_cell_angle_beta 90.00
_cell_angle_gamma 90.00
loop_
_atom_site_label
_atom_site_fract_x
_atom_site_fract_y
_atom_site_fract_z
Tb1 0.000 0.204 0.000
Ho1 0.000 0.000 0.390
Co1 0.000 0.000 0.796
Sn1 0.500 0.000 0.049
Sn2 0.500 0.126 0.670
Ir1 0.500 0.166 0.297
```

Top 10 peaks for 10 to 90 degrees two-theta, by angle:
13.56 deg, I 11.6; 33.52 deg, I 100.0; 36.32 deg, I 89.3; 36.43 deg, I 32.0; 41.49 deg, I 36.4; 43.77 deg, I 21.6; 47.98 deg, I 21.2; 61.69 deg, I 21.6; 65.26 deg, I 19.2; 67.24 deg, I 17.4

---

6.
Calculated XRD peak list
Compound: Zr5Ge4
Radiation: Cu Ka
Structure: the GGA-PBE geometry in OQMD
Peak positions follow from Bragg's law for the DFT cell and can differ from measured ones.

```
data_Zr5Ge4
_chemical_formula_sum 'Zr20 Ge16'
_space_group_name_H-M_alt 'P 41 21 2'
_space_group_IT_number 92
_space_group_name_Hall 'P 4abw 2nw'
_cell_length_a 7.290
_cell_length_b 7.290
_cell_length_c 13.242
_cell_angle_alpha 90.00
_cell_angle_beta 90.00
_cell_angle_gamma 90.00
loop_
_atom_site_label
_atom_site_fract_x
_atom_site_fract_y
_atom_site_fract_z
Zr1 0.002 0.155 0.128
Zr2 0.002 0.656 0.030
Zr3 0.171 0.829 0.250
Ge1 0.038 0.697 0.434
Ge2 0.140 0.201 0.329
```

Top 10 peaks for 10 to 90 degrees two-theta, by angle:
32.13 deg, I 26.5; 34.19 deg, I 94.8; 35.48 deg, I 94.3; 38.21 deg, I 100.0; 39.50 deg, I 93.3; 40.53 deg, I 17.9; 41.48 deg, I 18.1; 52.05 deg, I 18.7; 57.84 deg, I 18.0; 60.73 deg, I 19.3

---

7.
Calculated XRD peak list
Compound: TbTmNi2C2N2
Radiation: Cu Ka
Structure: the GGA-PBE geometry in OQMD
Peak positions follow from Bragg's law for the DFT cell and can differ from measured ones.

```
data_TbTmNi2C2N2
_chemical_formula_sum 'Tb1 Tm1 Ni2 C2 N2'
_space_group_name_H-M_alt 'P 4 m m'
_space_group_IT_number 99
_space_group_name_Hall 'P 4 -2'
_cell_length_a 3.441
_cell_length_b 3.441
_cell_length_c 7.300
_cell_angle_alpha 90.00
_cell_angle_beta 90.00
_cell_angle_gamma 90.00
loop_
_atom_site_label
_atom_site_fract_x
_atom_site_fract_y
_atom_site_fract_z
Tb1 0.000 0.000 0.000
Tm1 0.500 0.500 0.344
Ni1 0.000 0.500 0.672
C1 0.000 0.000 0.513
C2 0.500 0.500 0.836
N1 0.000 0.000 0.321
N2 0.500 0.500 0.029
```

Top 10 peaks for 10 to 90 degrees two-theta, by angle:
28.68 deg, I 100.0; 35.86 deg, I 64.2; 36.94 deg, I 70.2; 39.02 deg, I 61.4; 44.76 deg, I 53.0; 53.24 deg, I 48.6; 57.13 deg, I 22.6; 61.59 deg, I 25.9; 65.86 deg, I 22.4; 66.56 deg, I 31.1

---

8.
Calculated XRD peak list
Compound: NiPS3
Radiation: Cu Ka
Structure: the GGA-PBE geometry in OQMD
Peak positions follow from Bragg's law for the DFT cell and can differ from measured ones.

```
data_NiPS3
_chemical_formula_sum 'Ni6 P6 S18'
_space_group_name_H-M_alt 'R -3'
_space_group_IT_number 148
_space_group_name_Hall '-R 3'
_cell_length_a 5.8205
_cell_length_b 5.8205
_cell_length_c 19.8218
_cell_angle_alpha 90.00
_cell_angle_beta 90.00
_cell_angle_gamma 120.00
loop_
_atom_site_label
_atom_site_fract_x
_atom_site_fract_y
_atom_site_fract_z
Ni1 0.0000 0.0000 0.1665
P1 0.0000 0.0000 0.4451
S1 0.0003 0.3449 0.4232
```

Top 10 peaks for 10 to 90 degrees two-theta, by angle:
13.40 deg, I 100.0; 30.72 deg, I 9.4; 33.65 deg, I 88.2; 36.39 deg, I 7.5; 41.34 deg, I 37.8; 52.08 deg, I 16.0; 54.62 deg, I 28.4; 56.51 deg, I 12.1; 65.71 deg, I 10.6; 81.76 deg, I 8.2

---

9.
Calculated XRD peak list
Compound: Li8Hg4O11
Radiation: Cu Ka
Structure: the GGA-PBE geometry in OQMD
Peak positions follow from Bragg's law for the DFT cell and can differ from measured ones.

```
data_Li8Hg4O11
_chemical_formula_sum 'Li8 Hg4 O11'
_space_group_name_H-M_alt 'P 1'
_space_group_IT_number 1
_space_group_name_Hall 'P 1'
_cell_length_a 5.218
_cell_length_b 5.653
_cell_length_c 9.071
_cell_angle_alpha 86.15
_cell_angle_beta 73.62
_cell_angle_gamma 84.86
loop_
_atom_site_label
_atom_site_fract_x
_atom_site_fract_y
_atom_site_fract_z
Li1 0.000 0.000 0.000
Li2 0.039 0.286 0.408
Li3 0.208 0.778 0.219
Li4 0.352 0.308 0.082
Li5 0.415 0.558 0.463
Li6 0.583 0.831 0.926
Li7 0.725 0.268 0.779
Li8 0.920 0.749 0.532
Hg1 0.145 0.540 0.812
Hg2 0.299 0.028 0.668
Hg3 0.628 0.030 0.321
Hg4 0.759 0.532 0.158
O1 0.011 0.097 0.208
O2 0.088 0.450 0.607
O3 0.137 0.632 0.036
O4 0.253 0.928 0.458
O5 0.371 0.111 0.867
O6 0.377 0.461 0.275
O7 0.554 0.983 0.118
O8 0.675 0.488 0.952
O9 0.692 0.067 0.537
O10 0.814 0.584 0.371
O11 0.921 0.973 0.794
```

Top 10 peaks for 10 to 90 degrees two-theta, by angle:
17.86 deg, I 100.0; 18.41 deg, I 21.7; 19.17 deg, I 19.3; 20.43 deg, I 22.9; 22.89 deg, I 33.8; 31.82 deg, I 36.0; 34.18 deg, I 19.0; 38.31 deg, I 24.7; 42.37 deg, I 19.8; 42.62 deg, I 18.9

---

10.
Calculated XRD peak list
Compound: LiYZr3O8
Radiation: Cu Ka
Structure: the GGA-PBE geometry in OQMD
Peak positions follow from Bragg's law for the DFT cell and can differ from measured ones.

```
data_LiYZr3O8
_chemical_formula_sum 'Li1 Y1 Zr3 O8'
_space_group_name_H-M_alt 'P 3 m 1'
_space_group_IT_number 156
_space_group_name_Hall 'P 3 -2"'
_cell_length_a 6.3595
_cell_length_b 6.3595
_cell_length_c 4.8829
_cell_angle_alpha 90.00
_cell_angle_beta 90.00
_cell_angle_gamma 120.00
loop_
_atom_site_label
_atom_site_fract_x
_atom_site_fract_y
_atom_site_fract_z
Li1 0.0000 0.0000 0.0000
Y1 0.6667 0.3333 0.0676
Zr1 0.1696 0.3392 0.5656
O1 0.0000 0.0000 0.3613
O2 0.0047 0.5023 0.3498
O3 0.3069 0.1534 0.8129
O4 0.3333 0.6667 0.7820
```

Top 10 peaks for 10 to 90 degrees two-theta, by angle:
18.17 deg, I 42.0; 24.36 deg, I 100.0; 32.52 deg, I 61.6; 33.63 deg, I 42.1; 37.50 deg, I 41.2; 47.48 deg, I 30.9; 49.92 deg, I 71.3; 58.01 deg, I 28.8; 63.85 deg, I 12.3; 80.00 deg, I 15.9

---

11.
Calculated XRD peak list
Compound: Cs3RbSb2Au2
Radiation: Cu Ka
Structure: the GGA-PBE geometry in OQMD
Peak positions follow from Bragg's law for the DFT cell and can differ from measured ones.

```
data_Cs3RbSb2Au2
_chemical_formula_sum 'Cs3 Rb1 Sb2 Au2'
_space_group_name_H-M_alt 'P 1 m 1'
_space_group_IT_number 6
_space_group_name_Hall 'P -2y'
_cell_length_a 6.964
_cell_length_b 7.105
_cell_length_c 7.092
_cell_angle_alpha 90.00
_cell_angle_beta 109.46
_cell_angle_gamma 90.00
loop_
_atom_site_label
_atom_site_fract_x
_atom_site_fract_y
_atom_site_fract_z
Cs1 0.000 0.000 0.000
Cs2 0.009 0.500 0.325
Cs3 0.340 0.000 0.665
Rb1 0.671 0.500 0.658
Sb1 0.266 0.500 0.910
Sb2 0.751 0.000 0.415
Au1 0.504 0.250 0.168
```

Top 10 peaks for 10 to 90 degrees two-theta, by angle:
13.24 deg, I 40.1; 15.45 deg, I 46.1; 25.28 deg, I 35.3; 25.56 deg, I 33.7; 25.95 deg, I 43.2; 28.50 deg, I 100.0; 28.57 deg, I 41.7; 28.88 deg, I 58.8; 29.56 deg, I 29.4; 33.53 deg, I 74.9

---

12.
Calculated XRD peak list
Compound: DyHoPd2
Radiation: Cu Ka
Structure: the GGA-PBE geometry in OQMD
Peak positions follow from Bragg's law for the DFT cell and can differ from measured ones.

```
data_DyHoPd2
_chemical_formula_sum 'Dy2 Ho2 Pd4'
_space_group_name_H-M_alt 'P m n 21'
_space_group_IT_number 31
_space_group_name_Hall 'P 2ac -2'
_cell_length_a 4.471
_cell_length_b 6.885
_cell_length_c 5.663
_cell_angle_alpha 90.00
_cell_angle_beta 90.00
_cell_angle_gamma 90.00
loop_
_atom_site_label
_atom_site_fract_x
_atom_site_fract_y
_atom_site_fract_z
Dy1 0.000 0.069 0.000
Ho1 0.000 0.569 0.218
Pd1 0.000 0.210 0.513
Pd2 0.000 0.705 0.704
```

Top 10 peaks for 10 to 90 degrees two-theta, by angle:
28.55 deg, I 44.6; 32.84 deg, I 84.4; 34.24 deg, I 69.0; 36.57 deg, I 100.0; 39.90 deg, I 83.9; 40.35 deg, I 55.3; 42.50 deg, I 26.0; 53.93 deg, I 37.9; 55.83 deg, I 23.9; 71.12 deg, I 28.2